# 1
Starting from a crystal structure in the Materials Project, relaxed with GGA+U, the powder XRD pattern of SrFeP2O8 was simulated for Cu Kα (λ = 1.5418 Å).
Peak positions follow from Bragg's law for the DFT cell and can differ from measured ones.

Peak list (10 most intense, 10 to 90 degrees two-theta, by intensity)
d_spacing	2θ/deg	Rel. int.
4.125	21.54	100.0
3.251	27.43	98.0
2.794	32.03	68.8
2.846	31.43	64.0
2.988	29.90	53.1
6.585	13.45	45.6
4.250	20.90	39.0
2.029	44.66	29.5
3.196	27.92	27.4
2.787	32.12	26.7

Structure:
Cell: 5.7825 7.2326 9.1100 Å, 109.67 101.83 99.56°
Element x y z (fractional)
Sr 0.2424 0.2061 0.4446
Sr 0.7576 0.7939 0.5554
Fe 0.1860 0.8301 0.0459
Fe 0.8140 0.1699 0.9541
P 0.1008 0.5809 0.2682
P 0.3439 0.0290 0.8019
P 0.6561 0.9710 0.1981
P 0.8992 0.4191 0.7318
O 0.0651 0.4056 0.1029
O 0.1160 0.4504 0.6621
O 0.1380 0.9472 0.8711
O 0.1438 0.7859 0.2444
O 0.2201 0.0130 0.6317
O 0.3245 0.5681 0.3887
O 0.4495 0.0901 0.2019
O 0.4990 0.7558 0.0724
O 0.5010 0.2442 0.9276
O 0.5505 0.9099 0.7981
O 0.6755 0.4319 0.6113
O 0.7799 0.9870 0.3683
O 0.8562 0.2141 0.7556
O 0.8620 0.0528 0.1289
O 0.8840 0.5496 0.3379
O 0.9349 0.5944 0.8971

# 2
Starting from a crystal structure in the Materials Project, relaxed with GGA+U, the powder XRD pattern of MgFe4Te2O12 was simulated for Cu Kα (λ = 1.5418 Å).
Peak positions follow from Bragg's law for the DFT cell and can differ from measured ones.

Peak list (10 most intense, 10 to 90 degrees two-theta, by intensity)
d_spacing	2θ/deg	Rel. int.
3.452	25.81	100.0
3.400	26.21	94.9
2.552	35.16	65.8
2.564	34.99	64.3
1.760	51.97	51.6
1.746	52.40	38.3
4.242	20.94	28.7
1.772	51.58	28.4
2.443	36.79	26.1
1.433	65.10	24.8

Structure:
Cell: 4.8042 4.8869 9.0380 Å, 89.93 90.00 89.13°
Element x y z (fractional)
Mg 0.0000 0.0000 0.0000
Fe 0.9998 0.5003 0.8554
Fe 0.4999 0.9999 0.0389
Fe 0.4998 0.0007 0.3653
Fe 0.9995 0.4998 0.5403
Te 0.9999 0.5002 0.2096
Te 0.5002 0.0005 0.6936
O 0.2029 0.3317 0.0415
O 0.2114 0.3260 0.3659
O 0.2270 0.3109 0.6919
O 0.2601 0.8182 0.2018
O 0.2845 0.8394 0.8564
O 0.3020 0.8282 0.5277
O 0.6991 0.1726 0.5282
O 0.7154 0.1610 0.8565
O 0.7390 0.1815 0.2023
O 0.7731 0.6896 0.6919
O 0.7888 0.6743 0.3655
O 0.7964 0.6683 0.0414

# 3
Starting from a crystal structure in the Materials Project, relaxed with GGA+U, the powder XRD pattern of MgMn6O8F4 was simulated for Cu Kα (λ = 1.5418 Å).
Peak positions follow from Bragg's law for the DFT cell and can differ from measured ones.

Peak list (10 most intense, 10 to 90 degrees two-theta, by intensity)
d_spacing	2θ/deg	Rel. int.
3.431	25.97	100.0
1.949	46.59	87.5
4.881	18.17	71.3
3.124	28.57	68.6
2.632	34.07	68.1
2.602	34.47	58.6
2.323	38.76	49.6
2.296	39.23	41.5
2.204	40.94	40.1
6.862	12.90	38.3

Structure:
Cell: 5.9716 5.9716 7.5155 Å, 110.34 110.34 63.10°
Element x y z (fractional)
Mg 0.0000 0.0000 0.0000
Mn 0.2350 0.7650 0.5000
Mn 0.4476 0.5524 0.0000
Mn 0.4707 0.0055 0.9451
Mn 0.5680 0.1042 0.3692
Mn 0.8958 0.4320 0.6308
Mn 0.9945 0.5293 0.0549
O 0.1904 0.7303 0.1778
O 0.2408 0.3429 0.8419
O 0.2426 0.2045 0.1460
O 0.2697 0.8096 0.8222
O 0.5400 0.4600 0.5000
O 0.6571 0.7592 0.1581
O 0.7955 0.7574 0.8540
O 0.9308 0.0692 0.5000
F 0.0337 0.5549 0.4745
F 0.4451 0.9663 0.5255
F 0.6888 0.2093 0.1219
F 0.7907 0.3112 0.8781

# 4
Starting from a crystal structure in the Materials Project, relaxed with GGA+U, the powder XRD pattern of MgMn4Si8O22 was simulated for Cu Kα (λ = 1.5418 Å).
Peak positions follow from Bragg's law for the DFT cell and can differ from measured ones.

Peak list (10 most intense, 10 to 90 degrees two-theta, by intensity)
d_spacing	2θ/deg	Rel. int.
3.434	25.95	100.0
3.410	26.13	42.9
2.683	33.39	32.7
2.550	35.20	25.9
3.125	28.56	25.4
3.091	28.89	24.0
2.932	30.49	21.3
2.297	39.22	20.9
3.306	26.97	17.4
2.850	31.39	16.0

Structure:
Cell: 7.3353 7.4834 9.4646 Å, 91.44 107.51 115.86°
Element x y z (fractional)
Mg 0.0000 0.0000 0.0000
Mn 0.2645 0.8082 0.2195
Mn 0.3547 0.1436 0.8893
Mn 0.6453 0.8564 0.1107
Mn 0.7355 0.1918 0.7805
Si 0.0689 0.2922 0.2881
Si 0.1898 0.4951 0.8951
Si 0.2470 0.8727 0.5626
Si 0.4832 0.3214 0.2491
Si 0.5168 0.6786 0.7509
Si 0.7530 0.1273 0.4374
Si 0.8102 0.5049 0.1049
Si 0.9311 0.7078 0.7119
O 0.0056 0.2468 0.4384
O 0.0065 0.4702 0.2233
O 0.0612 0.2732 0.9286
O 0.0733 0.9172 0.8342
O 0.2497 0.9261 0.4018
O 0.3243 0.3792 0.3086
O 0.3309 0.6853 0.0386
O 0.3416 0.1283 0.1057
O 0.3519 0.7175 0.6140
O 0.3632 0.4858 0.8176
O 0.3925 0.0743 0.7039
O 0.6075 0.9257 0.2961
O 0.6368 0.5142 0.1824
O 0.6481 0.2825 0.3860
O 0.6584 0.8717 0.8943
O 0.6691 0.3147 0.9614
O 0.6757 0.6208 0.6914
O 0.7503 0.0739 0.5982
O 0.9267 0.0828 0.1658
O 0.9388 0.7268 0.0714
O 0.9935 0.5298 0.7767
O 0.9944 0.7532 0.5616

# 5
Starting from a crystal structure in the Materials Project, relaxed with GGA+U, the powder XRD pattern of KEuMgWO6 was simulated for Cu Kα (λ = 1.5418 Å).
Peak positions follow from Bragg's law for the DFT cell and can differ from measured ones.

Peak list (10 most intense, 10 to 90 degrees two-theta, by intensity)
d_spacing	2θ/deg	Rel. int.
2.822	31.70	100.0
4.609	19.26	62.6
1.629	56.47	39.5
2.407	37.36	34.8
1.996	45.45	32.9
1.411	66.23	19.8
1.262	75.29	17.3
1.831	49.79	15.0
1.536	60.24	12.6
1.349	69.69	12.3

Structure:
Cell: 5.6445 5.6445 5.6445 Å, 60.00 60.00 60.00°
Element x y z (fractional)
K 0.0000 0.0000 0.0000
Eu 0.5000 0.5000 0.5000
Mg 0.2500 0.2500 0.2500
W 0.7500 0.7500 0.7500
O 0.5079 0.5079 0.9921
O 0.5079 0.9921 0.5079
O 0.5079 0.9921 0.9921
O 0.9921 0.5079 0.5079
O 0.9921 0.5079 0.9921
O 0.9921 0.9921 0.5079

# 6
Starting from a crystal structure in the Materials Project, relaxed with GGA+U, the powder XRD pattern of Li7Mn5O12 was simulated for Cu Kα (λ = 1.5418 Å).
Peak positions follow from Bragg's law for the DFT cell and can differ from measured ones.

Peak list (10 most intense, 10 to 90 degrees two-theta, by intensity)
d_spacing	2θ/deg	Rel. int.
4.841	18.33	100.0
2.208	40.88	35.2
2.049	44.21	28.1
2.037	44.47	27.8
2.474	36.31	23.8
1.503	61.72	16.5
2.632	34.07	16.0
1.501	61.80	8.2
1.491	62.29	8.0
1.437	64.91	7.5

Structure:
Cell: 5.2712 6.0344 15.1136 Å, 97.49 94.46 110.58°
Element x y z (fractional)
Li 0.0000 0.0000 0.0000
Li 0.0846 0.6555 0.5817
Li 0.0864 0.1733 0.5792
Li 0.2592 0.4988 0.7512
Li 0.2705 0.9974 0.7559
Li 0.4008 0.8530 0.9180
Li 0.4121 0.3241 0.9246
Li 0.5000 0.5000 0.5000
Li 0.5879 0.6759 0.0754
Li 0.5992 0.1470 0.0820
Li 0.7295 0.0026 0.2441
Li 0.7408 0.5012 0.2488
Li 0.9136 0.8267 0.4208
Li 0.9154 0.3445 0.4183
Mn 0.0000 0.5000 0.0000
Mn 0.1590 0.3319 0.1650
Mn 0.1593 0.8370 0.1630
Mn 0.3350 0.1644 0.3353
Mn 0.3376 0.6589 0.3355
Mn 0.5000 0.0000 0.5000
Mn 0.6624 0.3411 0.6645
Mn 0.6650 0.8356 0.6647
Mn 0.8407 0.1630 0.8370
Mn 0.8410 0.6681 0.8350
O 0.0538 0.3517 0.2925
O 0.0895 0.8237 0.2931
O 0.1126 0.9814 0.8694
O 0.1192 0.4797 0.8816
O 0.2221 0.6820 0.4558
O 0.2468 0.1462 0.4561
O 0.2535 0.3554 0.0442
O 0.2781 0.8173 0.0439
O 0.3806 0.0219 0.6181
O 0.4178 0.5012 0.6300
O 0.4418 0.1495 0.2126
O 0.4448 0.6509 0.2173
O 0.5552 0.3491 0.7827
O 0.5582 0.8505 0.7874
O 0.5822 0.4988 0.3700
O 0.6194 0.9781 0.3819
O 0.7219 0.1827 0.9561
O 0.7465 0.6446 0.9558
O 0.7532 0.8538 0.5439
O 0.7779 0.3180 0.5442
O 0.8808 0.5203 0.1184
O 0.8874 0.0186 0.1306
O 0.9105 0.1763 0.7069
O 0.9462 0.6483 0.7075

# 7
Starting from a crystal structure in the Materials Project, relaxed with GGA+U, the powder XRD pattern of EuCrO3 was simulated for Cu Kα (λ = 1.5418 Å).
Peak positions follow from Bragg's law for the DFT cell and can differ from measured ones.

Peak list (10 most intense, 10 to 90 degrees two-theta, by intensity)
d_spacing	2θ/deg	Rel. int.
2.745	32.63	100.0
1.951	46.56	19.3
2.778	32.22	17.9
1.583	58.29	17.7
3.901	22.79	17.4
1.933	47.01	11.4
2.235	40.35	10.9
1.223	78.12	10.8
1.373	68.32	10.2
1.598	57.70	10.1

Structure:
Cell: 5.5565 7.7319 5.4786 Å, 90.00 90.00 90.00°
Element x y z (fractional)
Eu 0.0432 0.2500 0.0096
Eu 0.4568 0.7500 0.5096
Eu 0.5432 0.2500 0.4904
Eu 0.9568 0.7500 0.9904
Cr 0.0000 0.0000 0.5000
Cr 0.0000 0.5000 0.5000
Cr 0.5000 0.0000 0.0000
Cr 0.5000 0.5000 0.0000
O 0.0237 0.7500 0.4146
O 0.2074 0.5450 0.7938
O 0.2074 0.9550 0.7938
O 0.2926 0.0450 0.2938
O 0.2926 0.4550 0.2938
O 0.4763 0.2500 0.9146
O 0.5237 0.7500 0.0854
O 0.7074 0.5450 0.7062
O 0.7074 0.9550 0.7062
O 0.7926 0.0450 0.2062
O 0.7926 0.4550 0.2062
O 0.9763 0.2500 0.5854

# 8
Starting from a crystal structure in the Materials Project, relaxed with GGA+U, the powder XRD pattern of Rb8Fe2O7 was simulated for Cu Kα (λ = 1.5418 Å).
Peak positions follow from Bragg's law for the DFT cell and can differ from measured ones.

Peak list (10 most intense, 10 to 90 degrees two-theta, by intensity)
d_spacing	2θ/deg	Rel. int.
3.075	29.04	100.0
2.505	35.85	35.8
3.040	29.38	18.5
3.094	28.86	17.5
1.775	51.48	14.3
2.703	33.14	9.9
2.741	32.67	8.5
3.285	27.15	8.3
3.468	25.69	8.2
1.956	46.41	7.2

Structure:
Cell: 7.0738 17.7437 7.0347 Å, 90.00 118.99 90.00°
Element x y z (fractional)
Rb 0.1393 0.0814 0.4963
Rb 0.1393 0.4186 0.9963
Rb 0.2673 0.7108 0.5519
Rb 0.2673 0.7892 0.0519
Rb 0.2718 0.5056 0.5433
Rb 0.2718 0.9944 0.0433
Rb 0.2818 0.1903 0.0469
Rb 0.2818 0.3097 0.5469
Rb 0.7182 0.6903 0.4531
Rb 0.7182 0.8097 0.9531
Rb 0.7282 0.0056 0.9567
Rb 0.7282 0.4944 0.4567
Rb 0.7327 0.2108 0.9481
Rb 0.7327 0.2892 0.4481
Rb 0.8607 0.5814 0.0037
Rb 0.8607 0.9186 0.5037
Fe 0.3579 0.5971 0.9997
Fe 0.3579 0.9029 0.4997
Fe 0.6421 0.0971 0.5003
Fe 0.6421 0.4029 0.0003
O 0.0813 0.6011 0.7423
O 0.0813 0.8989 0.2423
O 0.3354 0.6044 0.2604
O 0.3354 0.8956 0.7604
O 0.4571 0.1765 0.5024
O 0.4571 0.3235 0.0024
O 0.5000 0.0000 0.5000
O 0.5000 0.5000 0.0000
O 0.5429 0.6765 0.9976
O 0.5429 0.8235 0.4976
O 0.6646 0.1044 0.2396
O 0.6646 0.3956 0.7396
O 0.9187 0.1011 0.7577
O 0.9187 0.3989 0.2577

# 9
Starting from a crystal structure in the Materials Project, relaxed with GGA+U, the powder XRD pattern of LiFePbO3 was simulated for Cu Kα (λ = 1.5418 Å).
Peak positions follow from Bragg's law for the DFT cell and can differ from measured ones.

Peak list (10 most intense, 10 to 90 degrees two-theta, by intensity)
d_spacing	2θ/deg	Rel. int.
2.838	31.52	100.0
4.182	21.25	97.2
3.092	28.87	81.4
1.938	46.89	75.4
2.348	38.33	36.2
2.091	43.27	34.6
1.683	54.51	29.0
1.394	67.15	25.4
1.809	50.44	21.9
2.652	33.80	21.0

Structure:
Cell: 4.2159 4.2159 4.2159 Å, 84.63 84.63 84.63°
Element x y z (fractional)
Li 0.0000 0.0000 0.0000
Fe 0.7013 0.7013 0.7013
Pb 0.3269 0.3269 0.3269
O 0.2069 0.7053 0.7053
O 0.7053 0.2069 0.7053
O 0.7053 0.7053 0.2069

# 10
Starting from a crystal structure in the Materials Project, relaxed with GGA+U, the powder XRD pattern of Li2TiFeO4 was simulated for Cu Kα (λ = 1.5418 Å).
Peak positions follow from Bragg's law for the DFT cell and can differ from measured ones.

Peak list (10 most intense, 10 to 90 degrees two-theta, by intensity)
d_spacing	2θ/deg	Rel. int.
3.698	24.07	100.0
4.081	21.78	83.3
2.184	41.34	78.3
2.982	29.96	73.8
2.043	44.33	65.2
2.038	44.45	64.6
1.492	62.22	38.3
1.490	62.32	38.1
2.408	37.35	36.8
1.443	64.59	35.0

Structure:
Cell: 4.0867 4.0759 8.7358 Å, 90.00 90.01 90.00°
Element x y z (fractional)
Li 0.0000 0.0000 0.0000
Li 0.0001 0.0000 0.4971
Li 0.0003 0.5000 0.2462
Li 0.5003 0.0000 0.7447
Ti 0.0001 0.5000 0.7493
Ti 0.5025 0.0000 0.2490
Fe 0.5000 0.5000 0.4962
Fe 0.4999 0.5000 0.9946
O 0.0003 0.0000 0.7487
O 0.0001 0.5000 0.5186
O 0.9999 0.5000 0.9790
O 0.4996 0.0000 0.0201
O 0.4998 0.0000 0.4785
O 0.4999 0.5000 0.2479
O 0.5004 0.5000 0.7476
O 0.9988 0.0000 0.2487